1.
The following is a theoretical powder X-ray diffraction pattern of SmScInRu. It was derived from a cell relaxed with GGA-PBE, using CuKα.
Lines closer than 0.1° are merged.

Most intense lines, 10 to 90 degrees two-theta, most intense first:
2θ = 35.0°, d = 2.561 Å, rel. 100
2θ = 38.1°, d = 2.360 Å, rel. 48
2θ = 66.9°, d = 1.398 Å, rel. 29
2θ = 29.0°, d = 3.080 Å, rel. 27
2θ = 55.0°, d = 1.669 Å, rel. 16
2θ = 11.1°, d = 7.988 Å, rel. 14
2θ = 51.8°, d = 1.766 Å, rel. 13
2θ = 33.7°, d = 2.663 Å, rel. 11
2θ = 60.7°, d = 1.525 Å, rel. 10
2θ = 64.7°, d = 1.441 Å, rel. 9
2θ = 89.9°, d = 1.091 Å, rel. 8
2θ = 43.5°, d = 2.082 Å, rel. 7

Structure:
```
SmScInRu
1.0
3.338 0.000 0.000
0.000 3.338 0.000
0.000 0.000 7.988
Sm Sc In Ru
1 1 1 1
direct
0.000 0.000 0.000
0.000 0.000 0.589
0.500 0.500 0.319
0.500 0.500 0.765
```

=====

2.
The following is a theoretical powder X-ray diffraction pattern of PuBeB. It was derived from a cell relaxed with GGA-PBE, using CuKα.
Lines closer than 0.1° are merged.

Most intense lines, 10 to 90 degrees two-theta, most intense first:
2θ = 22.7°, d = 3.914 Å, rel. 100
2θ = 40.0°, d = 2.254 Å, rel. 56
2θ = 39.7°, d = 2.272 Å, rel. 53
2θ = 32.1°, d = 2.789 Å, rel. 47
2θ = 62.6°, d = 1.484 Å, rel. 27
2θ = 46.0°, d = 1.972 Å, rel. 18
2θ = 63.0°, d = 1.476 Å, rel. 14
2θ = 62.4°, d = 1.489 Å, rel. 14
2θ = 51.9°, d = 1.761 Å, rel. 13
2θ = 52.6°, d = 1.740 Å, rel. 11
2θ = 71.9°, d = 1.314 Å, rel. 10
2θ = 77.5°, d = 1.232 Å, rel. 8

Structure:
```
PuBeB
1.0
5.578 0.000 0.000
0.000 5.578 0.000
0.000 0.000 5.494
Pu Be B
4 4 4
direct
0.240 0.240 0.000
0.260 0.740 0.250
0.740 0.260 0.750
0.760 0.760 0.500
0.148 0.148 0.500
0.352 0.648 0.750
0.648 0.352 0.250
0.852 0.852 0.000
0.108 0.892 0.750
0.392 0.392 0.500
0.608 0.608 0.000
0.892 0.108 0.250
```

=====

3.
The following is a theoretical powder X-ray diffraction pattern of NaAcPb2I8. It was derived from a cell relaxed with GGA-PBE, using CuKα.
Lines closer than 0.1° are merged.

Most intense lines, 10 to 90 degrees two-theta, most intense first:
2θ = 24.7°, d = 3.604 Å, rel. 100
2θ = 39.1°, d = 2.304 Å, rel. 83
2θ = 32.4°, d = 2.762 Å, rel. 78
2θ = 32.6°, d = 2.744 Å, rel. 72
2θ = 16.3°, d = 5.432 Å, rel. 58
2θ = 25.8°, d = 3.458 Å, rel. 57
2θ = 16.5°, d = 5.364 Å, rel. 57
2θ = 22.0°, d = 4.040 Å, rel. 50
2θ = 37.3°, d = 2.409 Å, rel. 47
2θ = 24.8°, d = 3.584 Å, rel. 47
2θ = 25.5°, d = 3.494 Å, rel. 28
2θ = 41.0°, d = 2.199 Å, rel. 26

Structure:
```
NaAcPb2I8
1.0
7.419 0.000 0.000
0.000 9.636 0.000
-0.100 0.000 7.869
Na Ac Pb I
1 1 2 8
direct
0.000 0.000 0.000
0.000 0.500 0.000
0.500 0.237 0.500
0.500 0.763 0.500
0.245 0.247 0.156
0.245 0.753 0.156
0.253 0.500 0.658
0.258 0.000 0.655
0.742 0.000 0.345
0.747 0.500 0.342
0.755 0.247 0.844
0.755 0.753 0.844
```

=====

4.
The following is a theoretical powder X-ray diffraction pattern of Tb2Cd3Ag3. It was derived from a cell relaxed with GGA-PBE, using CuKα.
Lines closer than 0.1° are merged.

Most intense lines, 10 to 90 degrees two-theta, most intense first:
2θ = 36.0°, d = 2.498 Å, rel. 100
2θ = 36.1°, d = 2.488 Å, rel. 98
2θ = 64.7°, d = 1.441 Å, rel. 51
2θ = 51.9°, d = 1.763 Å, rel. 34
2θ = 65.0°, d = 1.434 Å, rel. 16
2θ = 87.4°, d = 1.116 Å, rel. 15
2θ = 87.6°, d = 1.113 Å, rel. 15
2θ = 76.2°, d = 1.249 Å, rel. 11
2θ = 76.6°, d = 1.244 Å, rel. 10
2θ = 21.8°, d = 4.076 Å, rel. 2
2θ = 25.3°, d = 3.525 Å, rel. 2
2θ = 42.5°, d = 2.127 Å, rel. 2

Structure:
```
Tb2Cd3Ag3
1.0
2.498 1.442 8.109
-2.498 1.442 8.109
0.000 -2.884 8.109
Tb Cd Ag
2 3 3
direct
0.000 0.000 0.000
0.495 0.495 0.495
0.248 0.248 0.248
0.746 0.746 0.746
0.873 0.873 0.873
0.125 0.125 0.125
0.370 0.370 0.370
0.622 0.622 0.622
```